Calculated powder diffraction line list of PuAgAuCl6 for Cu Kα, from a crystal structure in Alexandria, relaxed with GGA-PBE.

Structural model:
```
data_PuAgAuCl6
_chemical_formula_sum 'Pu2 Ag2 Au2 Cl12'
_cell_length_a 6.6755
_cell_length_b 6.6755
_cell_length_c 12.3700
_cell_angle_alpha 90.00
_cell_angle_beta 90.00
_cell_angle_gamma 120.00
_space_group_name_H-M_alt 'P -3 1 c'
_space_group_IT_number 163
_space_group_name_Hall '-P 3 2c'
loop_
_atom_site_label
_atom_site_type_symbol
_atom_site_fract_x
_atom_site_fract_y
_atom_site_fract_z
Pu1 Pu 0.3333 0.6667 0.2500
Ag1 Ag 0.3333 0.6667 0.7500
Au1 Au 0.0000 0.0000 0.0000
Cl1 Cl 0.0152 0.3417 0.1255
```

Largest 6 diffraction maxima, by intensity, 2θ = 5–70°:
2θ 21.03, I 100, (1 0 2)
2θ 39.73, I 61, (1 1 4)
2θ 26.71, I 38, (1 1 0)
2θ 43.95, I 31, (2 1 2)
2θ 34.24, I 30, (2 0 2)
2θ 47.15, I 27, (3 0 0)